Starting from the PBE+U geometry in Alexandria, the X-ray diffraction stick pattern of P3W2O12 was computed for copper Kα.

Atomic structure:
Cell: 9.082 9.082 9.082 Å, 57.35 57.35 57.35°
Element x y z (fractional)
P 0.034 0.748 0.467
P 0.252 0.533 0.966
P 0.467 0.034 0.748
P 0.533 0.966 0.252
P 0.748 0.467 0.034
P 0.966 0.252 0.533
W 0.145 0.145 0.145
W 0.357 0.357 0.357
W 0.643 0.643 0.643
W 0.855 0.855 0.855
O 0.012 0.738 0.651
O 0.032 0.937 0.311
O 0.063 0.689 0.968
O 0.125 0.296 0.505
O 0.221 0.591 0.411
O 0.262 0.349 0.988
O 0.296 0.505 0.125
O 0.311 0.032 0.937
O 0.349 0.988 0.262
O 0.409 0.589 0.779
O 0.411 0.221 0.591
O 0.495 0.875 0.704
O 0.505 0.125 0.296
O 0.589 0.779 0.409
O 0.591 0.411 0.221
O 0.651 0.012 0.738
O 0.689 0.968 0.063
O 0.704 0.495 0.875
O 0.738 0.651 0.012
O 0.779 0.409 0.589
O 0.875 0.704 0.495
O 0.937 0.311 0.032
O 0.968 0.063 0.689
O 0.988 0.262 0.349

The 10 most intense peaks (10 to 80 degrees two-theta), in order of rising 2θ:
- 2θ = 14.1°, rel. 35
- 2θ = 19.6°, rel. 100
- 2θ = 20.4°, rel. 88
- 2θ = 23.6°, rel. 22
- 2θ = 28.4°, rel. 55
- 2θ = 31.3°, rel. 47
- 2θ = 35.2°, rel. 36
- 2θ = 35.7°, rel. 28
- 2θ = 46.2°, rel. 21
- 2θ = 51.5°, rel. 23